# Co3CuS5
Computed X-ray powder pattern, Cu Kα. Input: a GGA-PBE-relaxed structure.

Crystal structure
```
data_Co3CuS5
_symmetry_space_group_name_H-M 'P 6/m m m'
_symmetry_Int_Tables_number 191
_symmetry_space_group_name_Hall '-P 6 2'
_cell_length_a 5.2953
_cell_length_b 5.2953
_cell_length_c 6.2330
_cell_angle_alpha 90.00
_cell_angle_beta 90.00
_cell_angle_gamma 120.00
loop_
_atom_site_label
_atom_site_type_symbol
_atom_site_fract_x
_atom_site_fract_y
_atom_site_fract_z
Co1 Co 0.0000 0.5000 0.0000
Cu1 Cu 0.0000 0.0000 0.5000
S1 S 0.0000 0.0000 0.0000
S2 S 0.3333 0.6667 0.2541
```

Peak list (8 most intense, 2θ = 15–90°, in order of rising 2θ)
- 24.1°, 3.694 Å, intensity 55, (1 0 1)
- 33.9°, 2.648 Å, intensity 37, (1 1 0)
- 34.8°, 2.578 Å, intensity 26, (1 0 2)
- 36.9°, 2.437 Å, intensity 21, (1 1 1)
- 39.3°, 2.293 Å, intensity 41, (2 0 0)
- 42.0°, 2.152 Å, intensity 30, (2 0 1)
- 49.3°, 1.847 Å, intensity 100, (2 0 2)
- 71.2°, 1.324 Å, intensity 21, (2 2 0)

***

# Co2CuS6
Computed X-ray powder pattern, Cu Kα. Input: a GGA-PBE-relaxed structure.

Crystal structure
```
data_Co2CuS6
_symmetry_space_group_name_H-M 'P 1 21 1'
_symmetry_Int_Tables_number 4
_cell_length_a 5.552
_cell_length_b 5.571
_cell_length_c 16.749
_cell_angle_alpha 90.00
_cell_angle_beta 90.05
_cell_angle_gamma 90.00
loop_
_symmetry_equiv_pos_as_xyz
'x,y,z'
'-x,y+1/2,-z'
loop_
_atom_site_label
_atom_site_type_symbol
_atom_site_fract_x
_atom_site_fract_y
_atom_site_fract_z
Co1 Co 0.001 0.000 0.246
Co2 Co 0.002 0.998 0.920
Co3 Co 0.498 0.498 0.586
Co4 Co 0.498 0.503 0.918
Cu1 Cu 0.001 0.500 0.417
Cu2 Cu 0.499 0.001 0.751
S1 S 0.097 0.121 0.720
S2 S 0.099 0.387 0.208
S3 S 0.112 0.388 0.881
S4 S 0.113 0.111 0.045
S5 S 0.114 0.099 0.375
S6 S 0.121 0.401 0.553
S7 S 0.383 0.884 0.886
S8 S 0.383 0.905 0.209
S9 S 0.385 0.599 0.713
S10 S 0.389 0.609 0.046
S11 S 0.400 0.619 0.383
S12 S 0.402 0.886 0.544
```

Peak list (8 most intense, 2θ = 15–90°, in order of rising 2θ)
- 27.7°, 3.215 Å, intensity 54, (1 1 3)
- 32.1°, 2.788 Å, intensity 100, (0 2 0)
- 32.2°, 2.776 Å, intensity 49, (2 0 0)
- 36.0°, 2.493 Å, intensity 39, (1 0 -6)
- 46.1°, 1.971 Å, intensity 39, (2 0 -6)
- 54.6°, 1.682 Å, intensity 45, (1 1 9)
- 54.6°, 1.680 Å, intensity 45, (1 3 3)
- 54.8°, 1.675 Å, intensity 45, (3 1 3)

***

# Co3CuS8
Computed X-ray powder pattern, Cu Kα. Input: a GGA-PBE-relaxed structure.

Crystal structure
```
data_Co3CuS8
_symmetry_space_group_name_H-M 'R -3'
_symmetry_Int_Tables_number 148
_symmetry_space_group_name_Hall '-R 3'
_cell_length_a 7.8449
_cell_length_b 7.8449
_cell_length_c 9.5864
_cell_angle_alpha 90.00
_cell_angle_beta 90.00
_cell_angle_gamma 120.00
loop_
_atom_site_label
_atom_site_type_symbol
_atom_site_fract_x
_atom_site_fract_y
_atom_site_fract_z
Co1 Co 0.0000 0.5000 0.0000
Cu1 Cu 0.0000 0.0000 0.0000
S1 S 0.0000 0.0000 0.3865
S2 S 0.0182 0.7496 0.8654
```

Peak list (8 most intense, 2θ = 15–90°, in order of rising 2θ)
- 27.9°, 3.200 Å, intensity 38, (0 2 1)
- 32.3°, 2.772 Å, intensity 100, (2 0 2)
- 36.2°, 2.479 Å, intensity 43, (2 -1 3)
- 39.8°, 2.263 Å, intensity 38, (3 0 0)
- 46.3°, 1.960 Å, intensity 52, (0 2 4)
- 54.9°, 1.671 Å, intensity 95, (2 2 3)
- 60.2°, 1.537 Å, intensity 15, (5 -2 1)
- 62.7°, 1.482 Å, intensity 14, (2 3 2)

***

# Co2CuS6
Computed X-ray powder pattern, Cu Kα. Input: a GGA-PBE-relaxed structure.

Crystal structure
```
data_Co2CuS6
_symmetry_space_group_name_H-M 'P 1 c 1'
_symmetry_Int_Tables_number 7
_cell_length_a 5.598
_cell_length_b 16.670
_cell_length_c 5.552
_cell_angle_alpha 90.00
_cell_angle_beta 90.45
_cell_angle_gamma 90.00
loop_
_symmetry_equiv_pos_as_xyz
'x,y,z'
'x,-y,z+1/2'
loop_
_atom_site_label
_atom_site_type_symbol
_atom_site_fract_x
_atom_site_fract_y
_atom_site_fract_z
Co1 Co 0.000 0.081 0.000
Co2 Co 0.499 0.248 0.003
Co3 Co 0.501 0.416 0.504
Co4 Co 0.504 0.082 0.504
Cu1 Cu 0.002 0.248 0.503
Cu2 Cu 0.999 0.415 0.004
S1 S 0.111 0.046 0.392
S2 S 0.118 0.383 0.402
S3 S 0.119 0.281 0.903
S4 S 0.389 0.120 0.891
S5 S 0.406 0.210 0.386
S6 S 0.406 0.455 0.885
S7 S 0.596 0.376 0.121
S8 S 0.597 0.288 0.620
S9 S 0.610 0.045 0.116
S10 S 0.883 0.450 0.606
S11 S 0.885 0.114 0.620
S12 S 0.887 0.210 0.101
```

Peak list (8 most intense, 2θ = 15–90°, in order of rising 2θ)
- 27.7°, 3.224 Å, intensity 30, (1 3 -1)
- 27.8°, 3.207 Å, intensity 26, (1 3 1)
- 32.0°, 2.799 Å, intensity 53, (2 0 0)
- 32.2°, 2.777 Å, intensity 100, (0 6 0)
- 35.9°, 2.498 Å, intensity 28, (2 3 0)
- 46.0°, 1.972 Å, intensity 26, (2 6 0)
- 46.2°, 1.964 Å, intensity 40, (2 0 2)
- 54.7°, 1.678 Å, intensity 50, (1 3 -3)

***

# Co2CuS6
Computed X-ray powder pattern, Cu Kα. Input: a GGA-PBE-relaxed structure.

Crystal structure
```
data_Co2CuS6
_symmetry_space_group_name_H-M 'P 1'
_symmetry_Int_Tables_number 1
_cell_length_a 5.533
_cell_length_b 7.917
_cell_length_c 12.470
_cell_angle_alpha 71.59
_cell_angle_beta 89.99
_cell_angle_gamma 89.99
loop_
_symmetry_equiv_pos_as_xyz
'x,y,z'
loop_
_atom_site_label
_atom_site_type_symbol
_atom_site_fract_x
_atom_site_fract_y
_atom_site_fract_z
Co1 Co 0.000 0.000 0.000
Co2 Co 0.000 0.341 0.325
Co3 Co 0.005 0.494 0.000
Co4 Co 0.494 0.326 0.838
Co5 Co 0.495 0.664 0.160
Co6 Co 0.498 0.492 0.494
Co7 Co 0.507 0.170 0.162
Co8 Co 0.994 0.171 0.665
Cu1 Cu 0.002 0.663 0.664
Cu2 Cu 0.497 0.998 0.496
Cu3 Cu 0.502 0.830 0.830
Cu4 Cu 0.998 0.829 0.330
S1 S 0.097 0.113 0.496
S2 S 0.100 0.883 0.758
S3 S 0.110 0.204 0.091
S4 S 0.114 0.521 0.424
S5 S 0.115 0.777 0.156
S6 S 0.117 0.436 0.840
S7 S 0.382 0.045 0.929
S8 S 0.386 0.602 0.003
S9 S 0.387 0.372 0.254
S10 S 0.388 0.273 0.665
S11 S 0.397 0.947 0.321
S12 S 0.401 0.681 0.591
S13 S 0.594 0.719 0.326
S14 S 0.601 0.609 0.738
S15 S 0.613 0.964 0.072
S16 S 0.614 0.387 0.999
S17 S 0.616 0.309 0.399
S18 S 0.619 0.064 0.665
S19 S 0.883 0.451 0.566
S20 S 0.885 0.144 0.235
S21 S 0.887 0.221 0.834
S22 S 0.889 0.557 0.160
S23 S 0.896 0.895 0.497
S24 S 0.904 0.797 0.908
```

Peak list (8 most intense, 2θ = 15–90°, in order of rising 2θ)
- 27.7°, 3.216 Å, intensity 53, (-1 2 1)
- 32.0°, 2.794 Å, intensity 100, (0 2 -2)
- 32.4°, 2.767 Å, intensity 48, (2 0 0)
- 36.0°, 2.495 Å, intensity 29, (0 1 5)
- 46.2°, 1.966 Å, intensity 51, (2 -2 2)
- 54.5°, 1.685 Å, intensity 45, (-1 4 5)
- 54.6°, 1.682 Å, intensity 44, (1 2 7)
- 54.9°, 1.671 Å, intensity 44, (3 2 1)

***

# Co2CuS6
Computed X-ray powder pattern, Cu Kα. Input: a GGA-PBE-relaxed structure.

Crystal structure
```
data_Co2CuS6
_symmetry_space_group_name_H-M 'P 1'
_symmetry_Int_Tables_number 1
_cell_length_a 5.554
_cell_length_b 5.561
_cell_length_c 16.802
_cell_angle_alpha 89.75
_cell_angle_beta 89.91
_cell_angle_gamma 89.93
loop_
_symmetry_equiv_pos_as_xyz
'x,y,z'
loop_
_atom_site_label
_atom_site_type_symbol
_atom_site_fract_x
_atom_site_fract_y
_atom_site_fract_z
Co1 Co 0.000 0.000 0.000
Co2 Co 0.000 0.008 0.672
Co3 Co 0.494 0.504 0.671
Co4 Co 0.496 0.504 0.002
Co5 Co 0.498 0.004 0.836
Co6 Co 0.499 0.507 0.346
Co7 Co 0.501 0.004 0.511
Co8 Co 0.997 0.508 0.509
Cu1 Cu 0.501 0.007 0.172
Cu2 Cu 0.996 0.507 0.836
Cu3 Cu 0.997 0.507 0.174
Cu4 Cu 0.998 0.008 0.340
S1 S 0.103 0.109 0.205
S2 S 0.108 0.114 0.545
S3 S 0.113 0.101 0.874
S4 S 0.113 0.384 0.034
S5 S 0.113 0.387 0.705
S6 S 0.113 0.410 0.382
S7 S 0.378 0.883 0.034
S8 S 0.385 0.617 0.546
S9 S 0.385 0.891 0.709
S10 S 0.399 0.893 0.382
S11 S 0.400 0.609 0.213
S12 S 0.401 0.619 0.875
S13 S 0.594 0.388 0.798
S14 S 0.597 0.129 0.310
S15 S 0.598 0.406 0.133
S16 S 0.609 0.393 0.472
S17 S 0.610 0.114 0.965
S18 S 0.610 0.116 0.635
S19 S 0.878 0.608 0.309
S20 S 0.880 0.617 0.970
S21 S 0.881 0.907 0.798
S22 S 0.883 0.888 0.476
S23 S 0.886 0.614 0.636
S24 S 0.899 0.905 0.130
```

Peak list (8 most intense, 2θ = 15–90°, in order of rising 2θ)
- 27.7°, 3.222 Å, intensity 28, (1 1 3)
- 27.8°, 3.212 Å, intensity 27, (1 -1 3)
- 32.0°, 2.800 Å, intensity 51, (0 0 6)
- 32.2°, 2.779 Å, intensity 100, (2 0 0)
- 36.1°, 2.485 Å, intensity 31, (0 2 -3)
- 46.1°, 1.967 Å, intensity 26, (2 2 0)
- 54.7°, 1.679 Å, intensity 36, (1 3 3)
- 54.8°, 1.676 Å, intensity 56, (-3 1 3)

***

Copy entry 5 word for word.
# Co2CuS6
Computed X-ray powder pattern, Cu Kα. Input: a GGA-PBE-relaxed structure.

Crystal structure
```
data_Co2CuS6
_symmetry_space_group_name_H-M 'P 1'
_symmetry_Int_Tables_number 1
_cell_length_a 5.533
_cell_length_b 7.917
_cell_length_c 12.470
_cell_angle_alpha 71.59
_cell_angle_beta 89.99
_cell_angle_gamma 89.99
loop_
_symmetry_equiv_pos_as_xyz
'x,y,z'
loop_
_atom_site_label
_atom_site_type_symbol
_atom_site_fract_x
_atom_site_fract_y
_atom_site_fract_z
Co1 Co 0.000 0.000 0.000
Co2 Co 0.000 0.341 0.325
Co3 Co 0.005 0.494 0.000
Co4 Co 0.494 0.326 0.838
Co5 Co 0.495 0.664 0.160
Co6 Co 0.498 0.492 0.494
Co7 Co 0.507 0.170 0.162
Co8 Co 0.994 0.171 0.665
Cu1 Cu 0.002 0.663 0.664
Cu2 Cu 0.497 0.998 0.496
Cu3 Cu 0.502 0.830 0.830
Cu4 Cu 0.998 0.829 0.330
S1 S 0.097 0.113 0.496
S2 S 0.100 0.883 0.758
S3 S 0.110 0.204 0.091
S4 S 0.114 0.521 0.424
S5 S 0.115 0.777 0.156
S6 S 0.117 0.436 0.840
S7 S 0.382 0.045 0.929
S8 S 0.386 0.602 0.003
S9 S 0.387 0.372 0.254
S10 S 0.388 0.273 0.665
S11 S 0.397 0.947 0.321
S12 S 0.401 0.681 0.591
S13 S 0.594 0.719 0.326
S14 S 0.601 0.609 0.738
S15 S 0.613 0.964 0.072
S16 S 0.614 0.387 0.999
S17 S 0.616 0.309 0.399
S18 S 0.619 0.064 0.665
S19 S 0.883 0.451 0.566
S20 S 0.885 0.144 0.235
S21 S 0.887 0.221 0.834
S22 S 0.889 0.557 0.160
S23 S 0.896 0.895 0.497
S24 S 0.904 0.797 0.908
```

Peak list (8 most intense, 2θ = 15–90°, in order of rising 2θ)
- 27.7°, 3.216 Å, intensity 53, (-1 2 1)
- 32.0°, 2.794 Å, intensity 100, (0 2 -2)
- 32.4°, 2.767 Å, intensity 48, (2 0 0)
- 36.0°, 2.495 Å, intensity 29, (0 1 5)
- 46.2°, 1.966 Å, intensity 51, (2 -2 2)
- 54.5°, 1.685 Å, intensity 45, (-1 4 5)
- 54.6°, 1.682 Å, intensity 44, (1 2 7)
- 54.9°, 1.671 Å, intensity 44, (3 2 1)